1.
Computed powder X-ray diffraction pattern of Cs2AlGa for Cu Kα, from a DFT-relaxed cell (GGA-PBE, Alexandria).
No peak broadening, texture or thermal motion is included.

Top 10 peaks for 2θ = 15–90°, by angle:
2theta, Rel. int.
19.9, 23
28.3, 100
34.8, 7
40.4, 19
45.5, 10
50.1, 40
58.5, 13
62.5, 5
66.3, 17
80.6, 20

Structure:
```
Cs2AlGa
1.0
0.0000 4.4602 4.4602
4.4602 0.0000 4.4602
4.4602 4.4602 0.0000
Cs Al Ga
2 1 1
Direct
0.2500 0.2500 0.2500
0.7500 0.7500 0.7500
0.0000 0.0000 0.0000
0.5000 0.5000 0.5000
```

2.
Computed powder X-ray diffraction pattern of Cs4AlGa5 for Cu Kα, from a DFT-relaxed cell (GGA-PBE, Alexandria).
No peak broadening, texture or thermal motion is included.

Top 10 peaks for 2θ = 15–90°, by angle:
2theta, Rel. int.
20.8, 83
22.0, 100
23.2, 20
28.5, 30
28.6, 38
30.6, 65
32.5, 41
33.5, 24
46.3, 15
46.9, 24

Structure:
```
Cs4AlGa5
1.0
8.3612 -3.1197 0.0000
8.3612 3.1197 0.0000
-8.2074 0.0000 9.3093
Cs Al Ga
4 1 5
Direct
0.1000 0.1000 0.3605
0.2783 0.2724 0.1768
0.7276 0.7217 0.8232
0.9000 0.9000 0.6395
0.7929 0.2071 0.0000
0.1948 0.8052 0.0000
0.3462 0.3408 0.7884
0.4353 0.4522 0.0751
0.5478 0.5647 0.9249
0.6592 0.6538 0.2116
```

3.
Computed powder X-ray diffraction pattern of Cs3AlGa4 for Cu Kα, from a DFT-relaxed cell (GGA-PBE, Alexandria).
No peak broadening, texture or thermal motion is included.

Top 10 peaks for 2θ = 15–90°, by angle:
2theta, Rel. int.
22.1, 19
25.0, 83
25.9, 100
26.1, 28
28.7, 50
28.8, 37
35.3, 18
36.1, 22
42.2, 30
48.3, 16

Structure:
```
Cs3AlGa4
1.0
7.2093 0.0000 0.0000
-2.7235 6.6814 0.0000
-1.1390 -4.0736 6.4734
Cs Al Ga
3 1 4
Direct
0.0000 0.0000 0.0000
0.4127 0.7787 0.1920
0.5873 0.2213 0.8080
0.0000 0.5000 0.5000
0.0575 0.2161 0.5958
0.3803 0.5401 0.5961
0.6197 0.4599 0.4039
0.9425 0.7839 0.4042
```

4.
Computed powder X-ray diffraction pattern of CsAlGe for Cu Kα, from a DFT-relaxed cell (GGA-PBE, Alexandria).
No peak broadening, texture or thermal motion is included.

Top 10 peaks for 2θ = 15–90°, by angle:
2theta, Rel. int.
21.0, 18
21.8, 34
24.8, 22
25.0, 25
26.7, 55
27.5, 60
29.4, 100
29.6, 75
41.9, 53
60.8, 20

Structure:
```
CsAlGe
1.0
4.3075 0.0000 0.0000
0.0000 4.3090 0.0000
-1.7856 -0.0857 12.7851
Cs Al Ge
2 2 2
Direct
0.1383 0.2447 0.2307
0.8617 0.7553 0.7693
0.2501 0.7499 0.5000
0.7499 0.2501 0.5000
0.3001 0.2523 0.6211
0.6999 0.7477 0.3789
```